The following is a theoretical powder XRD pattern of AcDy3Rh8. It was derived from a GGA-PBE-relaxed structure, using λ = 1.5418 Å (Cu Kα).
Neutral-atom scattering factors, no anomalous dispersion.

Top 10 peaks for 10 to 80 degrees two-theta, in order of rising 2θ:
Position (°2θ), I (rel.)
33.29, 49
36.00, 94
38.63, 14
39.16, 100
40.00, 77
61.26, 39
63.44, 24
66.25, 30
69.91, 27
76.33, 12

Cell and atoms:
Unit cell a=5.383 b=5.383 c=8.861 alpha=90.00 beta=90.00 gamma=120.00
Sites, in units of the cell vectors:
Ac 0.000 0.000 0.000
Dy 0.000 0.000 0.369
Dy 0.667 0.333 0.497
Dy 0.667 0.333 0.857
Rh 0.166 0.331 0.676
Rh 0.166 0.834 0.676
Rh 0.333 0.667 0.433
Rh 0.333 0.667 0.930
Rh 0.502 0.004 0.190
Rh 0.502 0.498 0.190
Rh 0.669 0.834 0.676
Rh 0.996 0.498 0.190



The following is a theoretical powder XRD pattern of AcDyTeS2. It was derived from a GGA-PBE-relaxed structure, using λ = 1.5418 Å (Cu Kα).
Neutral-atom scattering factors, no anomalous dispersion.

Top 10 peaks for 10 to 80 degrees two-theta, in order of rising 2θ:
Position (°2θ), I (rel.)
12.51, 27
22.03, 100
25.66, 75
31.16, 74
36.25, 31
36.60, 51
43.14, 36
46.54, 20
48.81, 43
52.73, 18

Cell and atoms:
Unit cell a=4.910 b=4.910 c=7.077 alpha=90.00 beta=90.00 gamma=90.00
Sites, in units of the cell vectors:
Ac 0.000 0.000 0.000
Dy 0.500 0.500 0.378
Te 0.500 0.500 0.800
S 0.000 0.500 0.238
S 0.500 0.000 0.238



The following is a theoretical powder XRD pattern of Ac2DyZrS6. It was derived from a GGA-PBE-relaxed structure, using λ = 1.5418 Å (Cu Kα).
Neutral-atom scattering factors, no anomalous dispersion.

Top 10 peaks for 10 to 80 degrees two-theta, in order of rising 2θ:
Position (°2θ), I (rel.)
17.42, 38
23.99, 32
24.44, 100
25.44, 31
34.43, 20
35.24, 29
38.62, 20
39.39, 19
42.45, 26
44.23, 16

Cell and atoms:
Unit cell a=7.291 b=7.291 c=7.003 alpha=118.70 beta=118.70 gamma=91.22
Sites, in units of the cell vectors:
Ac 0.215 0.785 0.000
Ac 0.785 0.215 0.000
Dy 0.579 0.579 0.495
Zr 0.105 0.105 0.531
S 0.257 0.257 0.347
S 0.346 0.855 0.524
S 0.422 0.422 0.993
S 0.811 0.811 0.028
S 0.855 0.346 0.524
S 0.907 0.907 0.633



The following is a theoretical powder XRD pattern of Ac2DySb2Te2. It was derived from a GGA-PBE-relaxed structure, using λ = 1.5418 Å (Cu Kα).
Neutral-atom scattering factors, no anomalous dispersion.

Top 10 peaks for 10 to 80 degrees two-theta, in order of rising 2θ:
Position (°2θ), I (rel.)
10.62, 30
22.01, 74
22.33, 20
30.85, 52
31.08, 83
31.32, 100
44.71, 61
44.89, 37
45.58, 21
55.46, 20

Cell and atoms:
Unit cell a=9.254 b=9.254 c=9.254 alpha=144.05 beta=144.05 gamma=51.75
Sites, in units of the cell vectors:
Ac 0.124 0.124 0.000
Ac 0.876 0.876 0.000
Dy 0.500 0.500 0.000
Sb 0.000 0.500 0.500
Sb 0.500 0.000 0.500
Te 0.317 0.317 0.000
Te 0.683 0.683 0.000



The following is a theoretical powder XRD pattern of AcDySc2. It was derived from a GGA-PBE-relaxed structure, using λ = 1.5418 Å (Cu Kα).
Neutral-atom scattering factors, no anomalous dispersion.

Top 10 peaks for 10 to 80 degrees two-theta, in order of rising 2θ:
Position (°2θ), I (rel.)
20.09, 28
23.97, 37
31.47, 100
34.16, 40
39.95, 20
40.84, 12
47.91, 12
49.08, 14
54.26, 21
59.48, 32

Cell and atoms:
Unit cell a=5.250 b=5.250 c=4.420 alpha=90.00 beta=90.00 gamma=90.00
Sites, in units of the cell vectors:
Ac 0.000 0.000 0.000
Dy 0.500 0.500 0.000
Sc 0.000 0.500 0.500
Sc 0.500 0.000 0.500



The following is a theoretical powder XRD pattern of Ac2DyScSe5. It was derived from a GGA-PBE-relaxed structure, using λ = 1.5418 Å (Cu Kα).
Neutral-atom scattering factors, no anomalous dispersion.

Top 10 peaks for 10 to 80 degrees two-theta, in order of rising 2θ:
Position (°2θ), I (rel.)
22.49, 28
25.49, 17
26.04, 15
29.65, 100
31.42, 31
35.28, 18
35.96, 35
42.79, 26
44.26, 14
46.23, 13

Cell and atoms:
Unit cell a=8.997 b=8.997 c=13.295 alpha=90.00 beta=90.00 gamma=152.83
Sites, in units of the cell vectors:
Ac 0.105 0.895 0.500
Ac 0.143 0.857 0.121
Ac 0.857 0.143 0.621
Ac 0.895 0.105 0.000
Dy 0.207 0.793 0.825
Dy 0.793 0.207 0.325
Sc 0.471 0.529 0.268
Sc 0.529 0.471 0.768
Se 0.053 0.947 0.882
Se 0.281 0.719 0.474
Se 0.324 0.676 0.178
Se 0.372 0.628 0.812
Se 0.486 0.514 0.581
Se 0.514 0.486 0.081
Se 0.628 0.372 0.312
Se 0.676 0.324 0.678
Se 0.719 0.281 0.974
Se 0.947 0.053 0.382



The following is a theoretical powder XRD pattern of Ac2DyScTe6. It was derived from a GGA-PBE-relaxed structure, using λ = 1.5418 Å (Cu Kα).
Neutral-atom scattering factors, no anomalous dispersion.

Top 10 peaks for 10 to 80 degrees two-theta, in order of rising 2θ:
Position (°2θ), I (rel.)
22.65, 35
25.60, 32
27.21, 69
28.79, 46
28.99, 36
32.19, 100
34.25, 67
35.21, 39
40.90, 31
41.22, 36

Cell and atoms:
Unit cell a=7.489 b=8.385 c=13.354 alpha=90.00 beta=123.51 gamma=90.00
Sites, in units of the cell vectors:
Ac 0.200 0.112 0.248
Ac 0.200 0.388 0.748
Ac 0.800 0.612 0.252
Ac 0.800 0.888 0.752
Dy 0.500 0.000 0.000
Dy 0.500 0.500 0.500
Sc 0.000 0.000 0.500
Sc 0.000 0.500 0.000
Te 0.102 0.187 0.940
Te 0.102 0.313 0.440
Te 0.268 0.677 0.940
Te 0.268 0.823 0.440
Te 0.374 0.027 0.743
Te 0.374 0.473 0.243
Te 0.626 0.527 0.757
Te 0.626 0.973 0.257
Te 0.732 0.177 0.560
Te 0.732 0.323 0.060
Te 0.898 0.687 0.560
Te 0.898 0.813 0.060



The following is a theoretical powder XRD pattern of Ac3TbDy3Se8. It was derived from a GGA-PBE-relaxed structure, using λ = 1.5418 Å (Cu Kα).
Neutral-atom scattering factors, no anomalous dispersion.

Top 10 peaks for 10 to 80 degrees two-theta, in order of rising 2θ:
Position (°2θ), I (rel.)
25.96, 16
29.77, 100
41.94, 38
43.25, 37
51.14, 9
53.39, 20
61.83, 13
69.16, 19
71.05, 17
78.44, 13

Cell and atoms:
Unit cell a=8.624 b=8.624 c=8.624 alpha=58.04 beta=58.04 gamma=58.04
Sites, in units of the cell vectors:
Ac 0.000 0.500 0.500
Ac 0.500 0.000 0.500
Ac 0.500 0.500 0.000
Tb 0.500 0.500 0.500
Dy 0.000 0.000 0.500
Dy 0.000 0.500 0.000
Dy 0.500 0.000 0.000
Se 0.236 0.745 0.745
Se 0.241 0.241 0.241
Se 0.255 0.255 0.764
Se 0.255 0.764 0.255
Se 0.745 0.236 0.745
Se 0.745 0.745 0.236
Se 0.759 0.759 0.759
Se 0.764 0.255 0.255